No. 1
Structure and computed powder diffractogram of V3FeNi2P6O24 (a cell relaxed with PBE+U; copper Kα).
No peak broadening, texture or thermal motion is included.

Atomic structure:
Cell lengths 8.6114, 8.6114, 20.5198 Å; angles 90.00, 90.00, 120.00 degrees
Space group R3 (No. 146, hexagonal axes)
Symmetry-distinct sites (fractional):
V (0.0000, 0.0000, 0.0000)
V (0.0000, 0.0000, 0.2151)
V (0.0000, 0.0000, 0.5003)
Fe (0.0000, 0.0000, 0.7145)
Ni (0.0000, 0.0000, 0.3576)
Ni (0.0000, 0.0000, 0.8572)
P (0.0004, 0.2946, 0.6081)
P (0.0391, 0.6674, 0.7752)
O (0.0042, 0.2000, 0.6697)
O (0.0106, 0.8122, 0.1700)
O (0.0148, 0.1801, 0.2812)
O (0.0184, 0.8344, 0.7842)
O (0.1405, 0.6710, 0.7133)
O (0.1414, 0.4704, 0.2127)
O (0.1677, 0.4856, 0.5996)
O (0.1686, 0.6831, 0.1008)

Principal peaks in the range 2θ = 10–90°, low angle first:
| 2theta | I_rel |
| --- | --- |
| 20.63 | 83 |
| 24.43 | 100 |
| 25.42 | 21 |
| 33.46 | 67 |
| 36.13 | 38 |
| 47.95 | 33 |
| 50.07 | 26 |
| 56.55 | 23 |
| 57.21 | 16 |
| 63.28 | 20 |


No. 2
Structure and computed powder diffractogram of Sr2CoSeO2 (a cell relaxed with PBE+U; copper Kα).
No peak broadening, texture or thermal motion is included.

Atomic structure:
Cell lengths 4.0413, 4.0413, 6.9424 Å; angles 90.00, 90.00, 90.00 degrees
Space group P4/mmm (No. 123)
Symmetry-distinct sites (fractional):
Sr (0.0000, 0.0000, 0.2396)
Co (0.5000, 0.5000, 0.0000)
Se (0.5000, 0.5000, 0.5000)
O (0.0000, 0.5000, 0.0000)

Principal peaks in the range 2θ = 10–90°, low angle first:
| 2theta | I_rel |
| --- | --- |
| 31.30 | 50 |
| 34.05 | 100 |
| 44.86 | 28 |
| 52.74 | 8 |
| 57.49 | 43 |
| 62.62 | 13 |
| 65.31 | 8 |
| 71.68 | 12 |
| 74.20 | 9 |
| 75.74 | 10 |


No. 3
Structure and computed powder diffractogram of Li4Mn3VO8 (a cell relaxed with PBE+U; copper Kα).
No peak broadening, texture or thermal motion is included.

Atomic structure:
Cell lengths 5.9363, 5.9554, 5.9985 Å; angles 119.56, 118.47, 90.42 degrees
Space group P-1 (No. 2)
Symmetry-distinct sites (fractional):
Li (0.0000, 0.0000, 0.0000)
Li (0.0000, 0.5000, 0.0000)
Li (0.5000, 0.0000, 0.5000)
Li (0.5000, 0.5000, 0.5000)
Mn (0.0000, 0.0000, 0.5000)
Mn (0.0000, 0.5000, 0.5000)
Mn (0.5000, 0.0000, 0.0000)
V (0.5000, 0.5000, 0.0000)
O (0.2280, 0.2446, 0.5092)
O (0.2397, 0.7546, 0.9633)
O (0.2530, 0.7137, 0.5179)
O (0.2868, 0.2272, 0.0201)

Principal peaks in the range 2θ = 10–90°, low angle first:
| 2theta | I_rel |
| --- | --- |
| 18.26 | 100 |
| 34.14 | 17 |
| 35.07 | 17 |
| 35.28 | 12 |
| 36.57 | 10 |
| 41.52 | 31 |
| 42.87 | 27 |
| 43.20 | 26 |
| 61.00 | 8 |
| 61.70 | 8 |


No. 4
Structure and computed powder diffractogram of Li4TiNi3O8 (a cell relaxed with PBE+U; copper Kα).
No peak broadening, texture or thermal motion is included.

Atomic structure:
Cell lengths 10.2121, 5.8256, 5.8829 Å; angles 90.00, 124.54, 90.00 degrees
Space group C2/m (No. 12)
Symmetry-distinct sites (fractional):
Li (0.0000, 0.0000, 0.0000)
Li (0.0000, 0.5000, 0.0000)
Li (0.2500, 0.2500, 0.0000)
Ti (0.0000, 0.0000, 0.5000)
Ni (0.0000, 0.5000, 0.5000)
Ni (0.2500, 0.2500, 0.5000)
O (0.9996, 0.2406, 0.2635)
O (0.2368, 0.5000, 0.7154)
O (0.2390, 0.0000, 0.7283)

Principal peaks in the range 2θ = 10–90°, low angle first:
| 2theta | I_rel |
| --- | --- |
| 18.31 | 100 |
| 35.62 | 15 |
| 36.08 | 28 |
| 37.54 | 14 |
| 43.01 | 27 |
| 43.74 | 51 |
| 47.47 | 10 |
| 57.62 | 9 |
| 62.74 | 14 |
| 63.27 | 21 |